Diffraction record for CuP4Se4I. The PXRD pattern is computed, not measured: it uses a DFT-relaxed cell (PBE, OQMD) and copper Kα.
Neutral-atom scattering factors, no anomalous dispersion.

Top 10 peaks for 2θ from 5° to 70°, by angle:
- 2θ 11.69, d 7.570, rel. 57
- 2θ 16.02, d 5.531, rel. 34
- 2θ 18.50, d 4.796, rel. 25
- 2θ 23.26, d 3.824, rel. 57
- 2θ 23.89, d 3.724, rel. 28
- 2θ 28.46, d 3.136, rel. 93
- 2θ 28.86, d 3.093, rel. 31
- 2θ 29.09, d 3.070, rel. 100
- 2θ 31.47, d 2.843, rel. 71
- 2θ 52.66, d 1.738, rel. 35

```
CuP4Se4I
1.0
7.452 -6.164 0.000
7.452 6.164 0.000
0.000 0.000 12.531
Cu P Se I
4 16 16 4
direct
0.098 0.098 0.000 Cu
0.402 0.402 0.500 Cu
0.598 0.598 0.500 Cu
0.902 0.902 0.000 Cu
0.039 0.744 0.743 P
0.144 0.220 0.146 P
0.220 0.144 0.854 P
0.244 0.539 0.243 P
0.256 0.961 0.743 P
0.280 0.356 0.354 P
0.356 0.280 0.646 P
0.461 0.756 0.243 P
0.539 0.244 0.757 P
0.644 0.720 0.354 P
0.720 0.644 0.646 P
0.744 0.039 0.257 P
0.756 0.461 0.757 P
0.780 0.856 0.146 P
0.856 0.780 0.854 P
0.961 0.256 0.257 P
0.026 0.974 0.691 Se
0.052 0.354 0.403 Se
0.146 0.448 0.097 Se
0.161 0.339 0.750 Se
0.339 0.161 0.250 Se
0.354 0.052 0.597 Se
0.448 0.146 0.903 Se
0.474 0.526 0.191 Se
0.526 0.474 0.809 Se
0.552 0.854 0.097 Se
0.646 0.948 0.403 Se
0.661 0.839 0.750 Se
0.839 0.661 0.250 Se
0.854 0.552 0.903 Se
0.948 0.646 0.597 Se
0.974 0.026 0.309 Se
0.178 0.822 0.021 I
0.322 0.678 0.521 I
0.678 0.322 0.479 I
0.822 0.178 0.979 I
```